(1)
# Pa2CdCoO8
Simulated PXRD pattern, Cu Ka. Input: a crystal structure in Alexandria, relaxed with GGA+U.
Intensities are scaled so that the largest is 100.

Crystal structure
abc: 5.1801 5.1801 6.3933
angles: 90.00 90.00 120.00
Space group P-3m1 (No. 164)
Asymmetric unit:
Pa 0.3333 0.6667 0.3529 (multiplicity 2)
Cd 0.0000 0.0000 0.0000 (multiplicity 1)
Co 0.0000 0.0000 0.5000 (multiplicity 1)
O 0.1682 0.3364 0.6643 (multiplicity 6)
O 0.3333 0.6667 0.0590 (multiplicity 2)

Top 10 peaks for 2θ = 10–90°, most intense first:
24.24 deg, intensity 100.0, hkl 0 1 1
34.63 deg, intensity 70.7, hkl 1 1 0
34.45 deg, intensity 57.0, hkl 1 0 2
42.72 deg, intensity 38.9, hkl 2 0 1
49.65 deg, intensity 31.8, hkl 0 2 2
13.85 deg, intensity 30.9, hkl 0 0 1
61.95 deg, intensity 22.5, hkl 2 1 2
56.12 deg, intensity 22.1, hkl 1 2 1
55.87 deg, intensity 19.7, hkl 1 1 3
62.07 deg, intensity 13.2, hkl 3 0 0

***

(2)
# NdSmFe4O12
Simulated PXRD pattern, Cu Ka. Input: a crystal structure in Alexandria, relaxed with GGA+U.
Intensities are scaled so that the largest is 100.

Crystal structure
abc: 7.5545 7.5622 7.7002
angles: 90.00 90.00 90.00
Space group Cmmm (No. 65)
Asymmetric unit:
Nd 0.0000 0.0000 0.0000 (multiplicity 2)
Sm 0.0000 0.5000 0.5000 (multiplicity 2)
Fe 0.2500 0.2500 0.2505 (multiplicity 8)
O 0.0000 0.2166 0.2468 (multiplicity 8)
O 0.2150 0.5000 0.2568 (multiplicity 8)
O 0.2500 0.2500 0.0000 (multiplicity 4)
O 0.2500 0.2500 0.5000 (multiplicity 4)

Top 10 peaks for 2θ = 10–90°, most intense first:
20.23 deg, intensity 100.0, hkl 1 1 1
33.22 deg, intensity 69.4, hkl 0 2 2
33.53 deg, intensity 36.6, hkl 2 2 0
39.48 deg, intensity 35.5, hkl 1 3 1
59.76 deg, intensity 28.0, hkl 4 2 2
48.16 deg, intensity 27.1, hkl 0 4 0
38.93 deg, intensity 18.2, hkl 1 1 3
52.30 deg, intensity 16.1, hkl 3 1 3
69.74 deg, intensity 15.8, hkl 0 4 4
47.21 deg, intensity 15.3, hkl 0 0 4